No. 1
Diffraction record for U2GeO10. The X-ray powder pattern is theoretical, not measured: it uses a structure optimized by DFT (PBE) and Cu Kα (weighted mean of Kα1 and Kα2).

Atomic structure:
a b c (Å): 11.419 10.710 7.139
angles (deg): 76.66 65.87 37.47
Atoms (fractional coordinates):
U (0.044, 0.044, 0.706)
U (0.294, 0.294, 0.956)
U (0.706, 0.706, 0.044)
U (0.956, 0.956, 0.294)
Ge (0.125, 0.125, 0.125)
Ge (0.875, 0.875, 0.875)
O (0.008, 0.624, 0.914)
O (0.046, 0.086, 0.376)
O (0.086, 0.046, 0.992)
O (0.160, 0.160, 0.590)
O (0.196, 0.392, 0.221)
O (0.221, 0.690, 0.196)
O (0.310, 0.779, 0.608)
O (0.376, 0.992, 0.046)
O (0.392, 0.196, 0.690)
O (0.410, 0.410, 0.840)
O (0.590, 0.590, 0.160)
O (0.608, 0.804, 0.310)
O (0.624, 0.008, 0.954)
O (0.690, 0.221, 0.392)
O (0.779, 0.310, 0.804)
O (0.804, 0.608, 0.779)
O (0.840, 0.840, 0.410)
O (0.914, 0.954, 0.008)
O (0.954, 0.914, 0.624)
O (0.992, 0.376, 0.086)

The 8 most intense peaks (5 to 70 degrees two-theta), in order of rising 2θ:
13.79°, rel. 100.0; 17.81°, rel. 18.5; 18.79°, rel. 66.2; 25.86°, rel. 23.3; 26.21°, rel. 89.5; 31.34°, rel. 38.2; 34.67°, rel. 22.4; 47.18°, rel. 26.2

=====

No. 2
Diffraction record for Y2GeO5. The X-ray powder pattern is theoretical, not measured: it uses a structure optimized by DFT (PBE) and Cu Kα (weighted mean of Kα1 and Kα2).

Atomic structure:
a b c (Å): 9.374 7.031 6.812
angles (deg): 90.00 103.03 90.00
Atoms (fractional coordinates):
Y (0.028, 0.124, 0.230)
Y (0.028, 0.376, 0.730)
Y (0.358, 0.139, 0.024)
Y (0.358, 0.361, 0.524)
Y (0.642, 0.639, 0.476)
Y (0.642, 0.861, 0.976)
Y (0.972, 0.624, 0.270)
Y (0.972, 0.876, 0.770)
Ge (0.301, 0.596, 0.015)
Ge (0.301, 0.904, 0.515)
Ge (0.699, 0.096, 0.485)
Ge (0.699, 0.404, 0.985)
O (0.108, 0.117, 0.926)
O (0.108, 0.383, 0.426)
O (0.109, 0.640, 0.988)
O (0.109, 0.860, 0.488)
O (0.281, 0.078, 0.313)
O (0.281, 0.422, 0.813)
O (0.381, 0.069, 0.704)
O (0.381, 0.431, 0.204)
O (0.396, 0.697, 0.493)
O (0.396, 0.803, 0.993)
O (0.604, 0.197, 0.007)
O (0.604, 0.303, 0.507)
O (0.619, 0.569, 0.796)
O (0.619, 0.931, 0.296)
O (0.719, 0.578, 0.187)
O (0.719, 0.922, 0.687)
O (0.891, 0.140, 0.512)
O (0.891, 0.360, 0.012)
O (0.892, 0.617, 0.574)
O (0.892, 0.883, 0.074)

The 8 most intense peaks (5 to 70 degrees two-theta), in order of rising 2θ:
26.43°, rel. 24.0; 28.74°, rel. 27.3; 29.34°, rel. 78.3; 29.49°, rel. 42.5; 30.67°, rel. 29.9; 31.38°, rel. 100.0; 33.12°, rel. 34.2; 47.69°, rel. 47.8